The following is a theoretical powder X-ray diffraction pattern of VSb3P4O16. It was derived from the GGA+U geometry in the Materials Project, using a wavelength of 1.5418 Å.

Main lines, in order of rising 2θ (2θ from 5° to 70°):
- d 5.070, 2θ = 17.49°, I = 85, (0 0 2)
- d 4.267, 2θ = 20.82°, I = 23, (1 0 -1)
- d 3.784, 2θ = 23.51°, I = 61, (1 1 1)
- d 3.662, 2θ = 24.30°, I = 25, (1 0 2)
- d 3.623, 2θ = 24.57°, I = 54, (1 1 -1)
- d 3.428, 2θ = 25.99°, I = 100, (0 2 0)
- d 3.035, 2θ = 29.43°, I = 41, (-1 1 2)
- d 2.664, 2θ = 33.64°, I = 30, (1 1 3)
- d 2.659, 2θ = 33.71°, I = 21, (1 -1 3)
- d 1.971, 2θ = 46.06°, I = 21, (2 -2 1)

Structure:
```
data_VSb3P4O16
_space_group_name_H-M_alt 'P 1'
_space_group_IT_number 1
_cell_length_a 4.894
_cell_length_b 6.856
_cell_length_c 10.171
_cell_angle_alpha 89.96
_cell_angle_beta 85.48
_cell_angle_gamma 89.84
loop_
_space_group_symop_operation_xyz
'x,y,z'
loop_
_atom_site_label
_atom_site_fract_x
_atom_site_fract_y
_atom_site_fract_z
V1 0.000 0.000 0.000
Sb1 0.342 0.002 0.526
Sb2 0.525 0.501 0.930
Sb3 0.836 0.502 0.444
P1 0.062 0.502 0.120
P2 0.241 0.501 0.640
P3 0.609 0.002 0.830
P4 0.814 0.001 0.328
O1 0.116 0.002 0.358
O2 0.121 0.502 0.265
O3 0.122 0.675 0.556
O4 0.124 0.326 0.556
O5 0.139 0.501 0.784
O6 0.210 0.682 0.046
O7 0.212 0.323 0.046
O8 0.297 0.002 0.861
O9 0.557 0.502 0.628
O10 0.646 0.174 0.398
O11 0.648 0.827 0.398
O12 0.683 0.002 0.683
O13 0.743 0.175 0.905
O14 0.745 0.828 0.905
O15 0.750 0.501 0.103
O16 0.808 0.002 0.178
```